This entry pairs a crystal structure of Pm5USb6 with its simulated powder XRD pattern. Radiation: CuKα. Structure: DFT lattice parameters and positions (GGA-PBE).
Neutral-atom scattering factors, no anomalous dispersion.

The 12 most intense peaks (2θ from 10° to 80°), in order of rising 2θ:
- 12.1 deg, I = 1
- 13.8 deg, I = 1
- 15.5 deg, I = 1
- 24.3 deg, I = 2
- 24.4 deg, I = 2
- 28.2 deg, I = 100
- 40.3 deg, I = 77
- 47.7 deg, I = 2
- 49.9 deg, I = 27
- 58.3 deg, I = 13
- 66.0 deg, I = 35
- 73.3 deg, I = 26

Structure:
```
Pm5USb6
1.0
3.8727 -6.7166 0.0000
3.8727 6.7166 0.0000
-2.5849 0.0000 7.3022
Pm U Sb
5 1 6
direct
0.0000 0.0000 0.0000
0.1658 0.8342 0.5000
0.3310 0.6690 0.0000
0.6690 0.3310 0.0000
0.8342 0.1658 0.5000
0.5000 0.5000 0.5000
0.0899 0.4182 0.2534
0.2553 0.2553 0.7475
0.4182 0.0899 0.2534
0.5818 0.9101 0.7466
0.7447 0.7447 0.2525
0.9101 0.5818 0.7466
```